(1)
Structure and calculated powder XRD pattern of Y2TlTcO8 (a cell relaxed with GGA-PBE; Cu Kα (λ = 1.5418 Å)).

Largest 10 diffraction maxima, sorted by position, 15 to 90 degrees two-theta:
| index | 2theta | d_spacing | I/Imax |
| --- | --- | --- | --- |
| 1 1 0 | 17.99 | 4.930 | 15 |
| 0 2 0 | 24.88 | 3.579 | 58 |
| 2 0 0 | 26.21 | 3.401 | 48 |
| 1 1 2 | 31.13 | 2.873 | 100 |
| 2 2 0 | 36.45 | 2.465 | 24 |
| 1 3 2 | 47.91 | 1.899 | 40 |
| 3 1 2 | 49.43 | 1.844 | 35 |
| 0 2 4 | 58.24 | 1.584 | 20 |
| 3 3 2 | 62.30 | 1.490 | 21 |
| 3 5 2 | 84.60 | 1.146 | 13 |

Structural model:
```
data_Y2TlTcO8
_chemical_formula_sum 'Y4 Tl2 Tc2 O16'
_symmetry_space_group_name_H-M 'C m m m'
_symmetry_Int_Tables_number 65
_symmetry_space_group_name_Hall '-C 2 2'
_cell_length_a 6.8014
_cell_length_b 7.1576
_cell_length_c 7.0690
_cell_angle_alpha 90.00
_cell_angle_beta 90.00
_cell_angle_gamma 90.00
loop_
_atom_site_label
_atom_site_type_symbol
_atom_site_fract_x
_atom_site_fract_y
_atom_site_fract_z
Y1 Y 0.0000 0.0000 0.2435
Tl1 Tl 0.0000 0.5000 0.5000
Tc1 Tc 0.0000 0.5000 0.0000
O1 O 0.0000 0.3165 0.1935
O2 O 0.2000 0.0000 0.5000
O3 O 0.2175 0.0000 0.0000
```

(2)
Structure and calculated powder XRD pattern of PuGa4Ni2 (a cell relaxed with GGA-PBE; Cu Kα (λ = 1.5418 Å)).

Largest 10 diffraction maxima, sorted by position, 15 to 90 degrees two-theta:
| index | 2theta | d_spacing | I/Imax |
| --- | --- | --- | --- |
| 2 1 0 | 23.75 | 3.747 | 19 |
| 1 1 1 | 25.93 | 3.436 | 16 |
| 4 0 2 | 35.18 | 2.551 | 22 |
| 2 1 2 | 36.83 | 2.440 | 100 |
| 5 1 1 | 37.08 | 2.424 | 65 |
| 6 1 0 | 38.74 | 2.324 | 35 |
| 7 0 1 | 40.18 | 2.244 | 30 |
| 0 2 0 | 43.19 | 2.095 | 37 |
| 7 2 1 | 60.46 | 1.531 | 18 |
| 9 1 3 | 70.67 | 1.333 | 16 |

Structural model:
```
data_PuGa4Ni2
_chemical_formula_sum 'Pu4 Ga16 Ni8'
_symmetry_space_group_name_H-M 'P n m a'
_symmetry_Int_Tables_number 62
_symmetry_space_group_name_Hall '-P 2ac 2n'
_cell_length_a 16.7633
_cell_length_b 4.1890
_cell_length_c 6.4316
_cell_angle_alpha 90.00
_cell_angle_beta 90.00
_cell_angle_gamma 90.00
loop_
_atom_site_label
_atom_site_type_symbol
_atom_site_fract_x
_atom_site_fract_y
_atom_site_fract_z
Pu1 Pu 0.1368 0.2500 0.0184
Ga1 Ga 0.0346 0.7500 0.8285
Ga2 Ga 0.0736 0.2500 0.5009
Ga3 Ga 0.1852 0.7500 0.3267
Ga4 Ga 0.1945 0.7500 0.7291
Ni1 Ni 0.0380 0.7500 0.2473
Ni2 Ni 0.2183 0.2500 0.5314
```